Simulated powder diffraction line list
Compound: KMnPCO7
Radiation: λ = 1.5418 Å (Cu Kα)
Structure: DFT lattice parameters and positions (GGA+U)

Principal peaks in the range 2θ from 15° to 90°, by angle:
- (0 1 1), 17.0 deg, d 5.211, I 14.7
- (1 0 -1), 18.7 deg, d 4.752, I 25.9
- (1 0 1), 21.3 deg, d 4.172, I 31.1
- (1 0 -2), 23.6 deg, d 3.770, I 18.9
- (1 1 1), 25.7 deg, d 3.463, I 18.5
- (1 0 2), 27.7 deg, d 3.219, I 100.0
- (0 2 0), 28.8 deg, d 3.104, I 98.1
- (1 0 -3), 30.7 deg, d 2.908, I 15.7
- (2 0 -1), 35.6 deg, d 2.519, I 21.8
- (1 2 2), 40.4 deg, d 2.234, I 18.9
- (2 1 1), 41.4 deg, d 2.183, I 14.9
- (2 1 -5), 57.7 deg, d 1.597, I 14.7

Crystal structure
```
data_KMnPCO7
_chemical_formula_sum 'K2 Mn2 P2 C2 O14'
_cell_length_a 5.0645
_cell_length_b 6.2090
_cell_length_c 9.7045
_cell_angle_alpha 90.00
_cell_angle_beta 99.08
_cell_angle_gamma 90.00
_space_group_name_H-M_alt 'P 1 21 1'
_space_group_IT_number 4
loop_
_space_group_symop_operation_xyz
'x,y,z'
'-x,y+1/2,-z'
loop_
_atom_site_label
_atom_site_type_symbol
_atom_site_fract_x
_atom_site_fract_y
_atom_site_fract_z
K1 K 0.0908 0.0000 0.1701
Mn1 Mn 0.2728 0.9847 0.6519
P1 P 0.3039 0.4843 0.5623
C1 C 0.4573 0.9845 0.8980
O1 O 0.1024 0.4839 0.4274
O2 O 0.1978 0.9839 0.8488
O3 O 0.2690 0.2929 0.6612
O4 O 0.2695 0.6763 0.6609
O5 O 0.4017 0.4840 0.2061
O6 O 0.4084 0.9845 0.4750
O7 O 0.4457 0.4855 0.9765
```